[1]
Diffraction record for Ba3Ag4Hg4. The powder diffractogram is simulated, not measured: it uses a DFT-relaxed cell (GGA-PBE, Alexandria) and Cu Kα, 1.54184 Å.
Lines closer than 0.1° are merged.

Largest 10 diffraction maxima, by angle, 2θ from 10° to 90°:
2θ = 19.8°, rel. 12, hkl 1 0 -1
2θ = 28.9°, rel. 34, hkl 1 0 -4
2θ = 29.2°, rel. 100, hkl 1 1 1
2θ = 32.6°, rel. 11, hkl 0 1 -5
2θ = 36.0°, rel. 34, hkl 0 2 -1
2θ = 38.0°, rel. 30, hkl 0 1 5
2θ = 39.7°, rel. 24, hkl 2 0 -1
2θ = 40.6°, rel. 16, hkl 1 -1 5
2θ = 46.8°, rel. 13, hkl -1 2 3
2θ = 54.7°, rel. 19, hkl 2 2 -2

Cell and atoms:
abc: 4.536 4.988 15.150
angles: 99.31 98.50 90.06
Atoms (fractional coordinates):
Ba 0.000 0.000 0.000
Ba 0.148 0.647 0.295
Ba 0.852 0.353 0.705
Ag 0.308 0.809 0.616
Ag 0.453 0.453 0.905
Ag 0.547 0.547 0.095
Ag 0.692 0.191 0.384
Hg 0.254 0.255 0.508
Hg 0.404 0.906 0.808
Hg 0.596 0.094 0.192
Hg 0.746 0.745 0.492

[2]
Diffraction record for HoTh3Sc3. The powder diffractogram is simulated, not measured: it uses a DFT-relaxed cell (GGA-PBE, Alexandria) and Cu Kα, 1.54184 Å.
Lines closer than 0.1° are merged.

Largest 10 diffraction maxima, by angle, 2θ from 10° to 90°:
2θ = 11.2°, rel. 26, hkl 1 0 0
2θ = 25.1°, rel. 20, hkl 1 1 1
2θ = 29.9°, rel. 27, hkl 1 2 0
2θ = 31.8°, rel. 26, hkl 0 0 2
2θ = 33.9°, rel. 100, hkl 1 2 1
2θ = 44.2°, rel. 20, hkl 1 2 2
2θ = 53.0°, rel. 18, hkl 4 1 0
2θ = 58.0°, rel. 22, hkl 1 2 3
2θ = 63.1°, rel. 23, hkl 4 1 2
2θ = 64.4°, rel. 16, hkl 2 4 1

Cell and atoms:
abc: 9.144 9.144 5.630
angles: 90.00 90.00 120.00
Atoms (fractional coordinates):
Ho 0.333 0.667 0.250
Ho 0.667 0.333 0.750
Th 0.044 0.802 0.250
Th 0.198 0.242 0.250
Th 0.242 0.044 0.750
Th 0.758 0.956 0.250
Th 0.802 0.758 0.750
Th 0.956 0.198 0.750
Sc 0.092 0.616 0.750
Sc 0.384 0.476 0.750
Sc 0.476 0.092 0.250
Sc 0.524 0.908 0.750
Sc 0.616 0.524 0.250
Sc 0.908 0.384 0.250

[3]
Diffraction record for ScAsS2Cl. The powder diffractogram is simulated, not measured: it uses a DFT-relaxed cell (GGA-PBE, Alexandria) and Cu Kα, 1.54184 Å.
Lines closer than 0.1° are merged.

Largest 10 diffraction maxima, by angle, 2θ from 10° to 90°:
2θ = 25.1°, rel. 41, hkl 1 1 0
2θ = 25.8°, rel. 67, hkl 1 0 1
2θ = 31.5°, rel. 100, hkl 1 1 1
2θ = 35.8°, rel. 95, hkl 2 0 0
2θ = 37.8°, rel. 40, hkl 0 0 2
2θ = 44.7°, rel. 31, hkl 2 1 1
2θ = 51.5°, rel. 31, hkl 2 2 0
2θ = 53.1°, rel. 56, hkl 2 0 2
2θ = 61.6°, rel. 26, hkl 3 1 1
2θ = 65.7°, rel. 28, hkl 2 2 2

Cell and atoms:
abc: 5.015 5.015 4.754
angles: 90.00 90.00 90.00
Atoms (fractional coordinates):
Sc 0.000 0.000 0.000
As 0.500 0.500 0.500
S 0.000 0.500 0.000
S 0.500 0.000 0.000
Cl 0.000 0.000 0.500

- Number 1 is which compound?
  Ba3Ag4Hg4